Simulated X-ray powder pattern
Compound: La3Sm5Bi8
Radiation: λ = 1.5418 Å (Cu Kα)
Structure: DFT lattice parameters and positions (PBE)
Lines closer than 0.1° are merged.

Atomic structure:
```
La3Sm5Bi8
1.0
4.615 2.664 7.533
-4.615 2.664 7.533
0.000 -5.329 7.533
La Sm Bi
3 5 8
Cartesian
-2.307 -1.332 7.533
-2.307 1.332 15.066
0.000 2.664 7.533
0.000 0.000 0.000
-4.615 0.000 11.300
-2.307 1.332 3.767
2.307 1.332 3.767
0.000 0.000 11.300
-2.330 -1.345 13.146
0.000 0.000 5.594
0.000 -2.691 9.453
-2.330 1.345 9.453
2.330 -1.345 13.146
0.000 2.691 13.146
0.000 0.000 17.005
2.330 1.345 9.453
```

Main lines, in order of falling intensity (2θ = 10–80°):
d/Å	Position (°2θ)	I_rel
3.263	27.33	100.0
2.307	39.04	78.7
1.459	63.79	37.8
1.884	48.31	28.7
1.332	70.73	28.0
1.631	56.40	13.6

Simulated X-ray powder pattern
Compound: La3SmBi2
Radiation: λ = 1.5418 Å (Cu Kα)
Structure: DFT lattice parameters and positions (PBE)
Lines closer than 0.1° are merged.

Atomic structure:
```
La3SmBi2
1.0
-3.669 7.631 4.116
3.669 -7.631 4.116
3.669 7.631 -4.116
La Sm Bi
6 2 4
Cartesian
3.669 -3.051 2.058
0.000 0.000 2.058
3.669 3.051 2.058
0.000 4.580 2.058
0.000 0.000 6.174
0.000 10.681 2.058
3.669 0.000 0.000
0.000 7.631 0.000
1.207 2.249 0.000
1.207 -2.249 4.116
2.461 9.879 0.000
2.461 5.382 4.116
```

Main lines, in order of falling intensity (2θ = 10–80°):
d/Å	Position (°2θ)	I_rel
2.933	30.48	100.0
4.450	19.95	64.4
1.513	61.25	26.3
3.273	27.25	22.3
2.644	33.90	21.9
2.798	31.98	18.6

Simulated X-ray powder pattern
Compound: La5Sm5Bi6
Radiation: λ = 1.5418 Å (Cu Kα)
Structure: DFT lattice parameters and positions (PBE)
Lines closer than 0.1° are merged.

Atomic structure:
```
La5Sm5Bi6
1.0
6.607 0.000 0.000
0.000 8.324 4.777
0.000 -8.324 4.777
La Sm Bi
5 5 6
Cartesian
0.000 0.000 0.000
1.653 -2.759 7.117
1.653 2.759 7.117
4.954 -2.759 7.117
4.954 2.759 7.117
0.000 -2.075 3.523
0.000 2.075 3.523
3.304 -6.243 5.933
3.304 0.000 4.654
3.304 6.243 5.933
0.000 -5.102 5.295
0.000 0.000 5.954
0.000 5.102 5.295
3.304 -3.182 4.163
3.304 3.182 4.163
3.304 0.000 8.249
```

Main lines, in order of falling intensity (2θ = 10–80°):
d/Å	Position (°2θ)	I_rel
2.720	32.93	100.0
2.837	31.54	87.6
2.762	32.41	52.5
2.827	31.65	40.3
3.304	26.99	34.8
2.775	32.26	26.1

Simulated X-ray powder pattern
Compound: La2TbSmBi4
Radiation: λ = 1.5418 Å (Cu Kα)
Structure: DFT lattice parameters and positions (PBE)
Lines closer than 0.1° are merged.

Atomic structure:
```
La2TbSmBi4
1.0
7.985 0.000 0.000
0.000 4.623 0.000
-2.672 0.000 7.541
La Tb Sm Bi
2 1 1 4
Cartesian
0.000 0.000 0.000
-1.336 2.311 3.770
2.657 0.000 3.770
3.993 2.311 0.000
0.061 0.000 5.663
1.396 2.311 1.925
3.918 2.311 5.616
5.253 0.000 1.878
```

Main lines, in order of falling intensity (2θ = 10–80°):
d/Å	Position (°2θ)	I_rel
3.265	27.32	100.0
2.308	39.02	78.5
1.886	48.26	21.6
1.333	70.64	21.1
1.461	63.70	19.1
1.459	63.79	18.4

Simulated X-ray powder pattern
Compound: La2SmThBi5
Radiation: λ = 1.5418 Å (Cu Kα)
Structure: DFT lattice parameters and positions (PBE)
Lines closer than 0.1° are merged.

Atomic structure:
```
La2SmThBi5
1.0
5.758 0.000 0.000
0.000 5.758 0.000
0.000 0.000 12.033
La Sm Th Bi
2 1 1 5
Cartesian
0.000 0.000 2.614
0.000 0.000 9.419
2.879 2.879 6.017
2.879 2.879 0.000
0.000 0.000 6.017
0.000 2.879 0.000
2.879 0.000 0.000
2.879 2.879 3.072
2.879 2.879 8.961
```

Main lines, in order of falling intensity (2θ = 10–80°):
d/Å	Position (°2θ)	I_rel
2.879	31.07	100.0
2.080	43.51	72.4
4.071	21.83	61.9
3.008	29.70	50.1
1.686	54.42	38.0
2.036	44.51	38.0

Simulated X-ray powder pattern
Compound: La8Sn3Bi2
Radiation: λ = 1.5418 Å (Cu Kα)
Structure: DFT lattice parameters and positions (PBE)
Lines closer than 0.1° are merged.

Atomic structure:
```
La8Sn3Bi2
1.0
8.336 -4.403 0.000
8.336 4.403 0.000
-2.341 0.000 7.498
La Sn Bi
8 3 2
Cartesian
0.805 0.000 2.558
6.237 2.251 0.733
8.095 2.251 6.765
5.026 0.000 4.419
9.306 0.000 3.079
6.237 -2.251 0.733
8.095 -2.251 6.765
13.527 0.000 4.940
7.166 2.243 3.749
8.336 0.000 0.000
7.166 -2.243 3.749
3.834 0.000 1.231
10.498 0.000 6.267
```

Main lines, in order of falling intensity (2θ = 10–80°):
d/Å	Position (°2θ)	I_rel
2.981	29.98	100.0
2.250	40.07	50.9
3.058	29.20	48.2
2.557	35.09	46.0
2.201	41.00	28.9
3.647	24.41	27.0

Simulated X-ray powder pattern
Compound: La2SnBi4
Radiation: λ = 1.5418 Å (Cu Kα)
Structure: DFT lattice parameters and positions (PBE)
Lines closer than 0.1° are merged.

Atomic structure:
```
La2SnBi4
1.0
4.630 0.000 0.000
0.000 4.630 0.000
0.000 0.000 11.230
La Sn Bi
2 1 4
Cartesian
0.000 2.315 2.591
2.315 0.000 8.639
0.000 0.000 5.615
0.000 0.000 0.000
0.000 2.315 7.795
2.315 0.000 3.435
2.315 2.315 0.000
```

Main lines, in order of falling intensity (2θ = 10–80°):
d/Å	Position (°2θ)	I_rel
2.828	31.63	100.0
2.315	38.90	34.7
1.417	65.93	25.3
3.572	24.93	18.3
3.143	28.40	16.9
2.401	37.46	15.5

Simulated X-ray powder pattern
Compound: La2SnBi
Radiation: λ = 1.5418 Å (Cu Kα)
Structure: DFT lattice parameters and positions (PBE)
Lines closer than 0.1° are merged.

Atomic structure:
```
La2SnBi
1.0
4.799 0.000 0.000
0.000 25.397 0.000
0.000 0.000 4.554
La Sn Bi
8 4 4
Cartesian
0.000 1.576 1.139
0.000 8.069 1.139
0.000 17.328 3.416
0.000 23.821 3.416
2.400 4.630 3.416
2.400 11.123 3.416
2.400 14.275 1.139
2.400 20.767 1.139
0.000 11.609 1.139
0.000 13.789 3.416
2.400 1.090 3.416
2.400 24.307 1.139
0.000 4.787 1.139
0.000 20.610 3.416
2.400 7.912 3.416
2.400 17.486 1.139
```

Main lines, in order of falling intensity (2θ = 10–80°):
d/Å	Position (°2θ)	I_rel
3.276	27.22	100.0
2.443	36.79	69.2
3.175	28.11	42.4
1.507	61.55	25.1
2.400	37.48	24.6
2.277	39.58	21.1

Simulated X-ray powder pattern
Compound: SrLaBi2
Radiation: λ = 1.5418 Å (Cu Kα)
Structure: DFT lattice parameters and positions (PBE)
Lines closer than 0.1° are merged.

Atomic structure:
```
SrLaBi2
1.0
6.736 0.000 0.000
0.000 6.736 0.000
0.000 0.000 13.537
Sr La Bi
4 4 8
Cartesian
0.000 1.677 1.693
0.000 5.059 11.843
3.368 1.677 5.075
3.368 5.059 8.462
0.000 1.690 8.460
0.000 5.046 5.077
3.368 1.690 11.845
3.368 5.046 1.691
0.000 1.678 5.186
0.000 1.692 11.734
0.000 5.045 1.802
0.000 5.058 8.350
3.368 1.678 1.582
3.368 1.692 8.571
3.368 5.045 4.966
3.368 5.058 11.955
```

Main lines, in order of falling intensity (2θ = 10–80°):
d/Å	Position (°2θ)	I_rel
2.385	37.71	100.0
3.368	26.46	84.9
3.384	26.34	41.8
1.948	46.64	36.4
1.507	61.54	32.6
1.376	68.14	23.9

Simulated X-ray powder pattern
Compound: LaTb2Bi3
Radiation: λ = 1.5418 Å (Cu Kα)
Structure: DFT lattice parameters and positions (PBE)
Lines closer than 0.1° are merged.

Atomic structure:
```
LaTb2Bi3
1.0
4.569 0.000 0.000
0.000 6.468 0.000
0.000 0.000 13.678
La Tb Bi
2 4 6
Cartesian
0.000 0.000 0.000
2.285 3.234 6.839
0.000 0.000 4.583
0.000 0.000 9.095
2.285 3.234 2.256
2.285 3.234 11.422
0.000 3.234 0.000
0.000 3.234 4.472
0.000 3.234 9.206
2.285 0.000 2.367
2.285 0.000 6.839
2.285 0.000 11.312
```

Main lines, in order of falling intensity (2θ = 10–80°):
d/Å	Position (°2θ)	I_rel
3.230	27.62	100.0
2.284	39.46	78.3
1.445	64.50	31.3
1.865	48.84	28.5
1.319	71.52	18.7
1.614	57.07	8.9

Simulated X-ray powder pattern
Compound: La3Tb2TmBi6
Radiation: λ = 1.5418 Å (Cu Kα)
Structure: DFT lattice parameters and positions (PBE)
Lines closer than 0.1° are merged.

Atomic structure:
```
La3Tb2TmBi6
1.0
3.983 -6.897 0.000
3.983 6.897 0.000
-2.653 0.000 7.471
La Tb Tm Bi
3 2 1 6
Cartesian
0.000 0.000 0.000
3.983 2.312 0.000
3.983 -2.312 0.000
2.656 4.604 3.735
2.656 -4.604 3.735
2.656 0.000 3.735
1.338 2.284 1.969
0.021 0.000 5.510
1.338 -2.284 1.969
3.974 2.284 5.502
5.291 0.000 1.960
3.974 -2.284 5.502
```

Main lines, in order of falling intensity (2θ = 10–80°):
d/Å	Position (°2θ)	I_rel
3.246	27.48	100.0
2.299	39.18	39.8
2.291	39.32	38.3
1.876	48.52	21.6
1.454	64.05	19.0
1.450	64.25	17.8

Simulated X-ray powder pattern
Compound: LaTbTm2Bi4
Radiation: λ = 1.5418 Å (Cu Kα)
Structure: DFT lattice parameters and positions (PBE)
Lines closer than 0.1° are merged.

Atomic structure:
```
LaTbTm2Bi4
1.0
6.398 0.000 0.000
0.000 6.398 0.000
0.000 0.000 12.784
La Tb Tm Bi
2 2 4 8
Cartesian
0.000 0.000 0.000
3.199 3.199 6.392
0.000 0.000 6.392
3.199 3.199 0.000
0.000 3.199 3.196
0.000 3.199 9.588
3.199 0.000 3.196
3.199 0.000 9.588
0.000 0.000 3.250
0.000 0.000 9.534
0.000 3.199 0.000
0.000 3.199 6.392
3.199 0.000 0.000
3.199 0.000 6.392
3.199 3.199 3.142
3.199 3.199 9.642
```

Main lines, in order of falling intensity (2θ = 10–80°):
d/Å	Position (°2θ)	I_rel
3.198	27.90	100.0
2.261	39.87	78.4
1.430	65.24	37.5
1.846	49.36	28.5
1.306	72.39	27.9
1.599	57.65	13.5